Structure and computed powder diffractogram of NdPuSi2 (a DFT-relaxed cell (GGA-PBE, Alexandria); Cu Kα (weighted mean of Kα1 and Kα2)).

Atomic structure:
```
8
Lattice="3.8690 0.0000 0.0000 0.0000 5.8501 0.0000 0.0000 0.0000 8.1665" Properties=species:S:1:pos:R:3 pbc="T T T"
Nd 0.0000 0.8180 0.0000
Nd 0.0000 5.0321 4.0832
Pu 1.9345 2.1089 2.9256
Pu 1.9345 3.7412 7.0089
Si 0.0000 2.1970 5.2731
Si 0.0000 3.6531 1.1899
Si 1.9345 0.7837 5.8080
Si 1.9345 5.0665 1.7247
```

Largest 10 diffraction maxima, sorted by position, 2θ from 10° to 80°:
2θ (°)	intensity
26.62	31
27.64	37
29.77	100
31.86	67
32.51	75
35.45	36
36.40	46
40.20	36
51.59	34
58.28	34